[1]
The following is a simulated PXRD pattern of Eu3Rh4Pb13. It was derived from a crystal structure in the Materials Project, relaxed with GGA-PBE, using λ = 1.5418 Å (Cu Kα).
Peak positions follow from Bragg's law for the DFT cell and can differ from measured ones.

Structural model:
Lattice parameters (Å, degrees): 10.2316 10.2316 10.2316 90.00 90.00 90.00
Space group Pm-3n (No. 223)
Unique sites:
Eu1 0.0000 0.2500 0.5000 (multiplicity 6)
Rh1 0.2500 0.2500 0.2500 (multiplicity 8)
Pb1 0.0000 0.0000 0.0000 (multiplicity 2)
Pb2 0.0000 0.3058 0.1552 (multiplicity 24)

Main lines, low angle first (15 to 90 degrees two-theta):
2theta  I/Imax  hkl
31.53  100  3 2 0
32.75  37  3 2 1
36.20  16  4 1 0
43.32  19  4 2 2
52.12  15  4 3 3
55.35  18  5 3 2

---

[2]
The following is a simulated PXRD pattern of MnCN2. It was derived from a crystal structure in the Materials Project, relaxed with GGA-PBE, using λ = 1.5418 Å (Cu Kα).
Peak positions follow from Bragg's law for the DFT cell and can differ from measured ones.

Structural model:
Lattice parameters (Å, degrees): 3.3667 3.3667 14.3769 90.00 90.00 120.00
Space group R-3m (No. 166, hexagonal axes)
Unique sites:
Mn1 0.0000 0.0000 0.0000 (multiplicity 3)
C1 0.0000 0.0000 0.5000 (multiplicity 3)
N1 0.0000 0.0000 0.4139 (multiplicity 6)

Main lines, low angle first (15 to 90 degrees two-theta):
2theta  I/Imax  hkl
18.51  48  0 0 3
33.16  100  0 1 2
39.81  25  1 0 4
44.24  32  0 1 5
54.51  26  1 1 0
54.66  14  1 0 7